Entry 1:
This entry pairs a crystal structure of MnFe5O8 with its simulated X-ray diffraction stick pattern. Radiation: Cu Kα, 1.54184 Å. Structure: the PBE+U geometry in the Materials Project.
Lines closer than 0.1° are merged.

Main lines, sorted by position (5° ≤ 2θ ≤ 70°):
Position (°2θ), d_spacing, I/Imax
29.17, 3.061, 30
29.47, 3.031, 26
34.30, 2.614, 50
34.56, 2.595, 100
34.69, 2.586, 51
41.95, 2.154, 42
55.44, 1.657, 25
55.62, 1.652, 23
60.48, 1.531, 46
61.16, 1.515, 46

Structure:
Cell lengths 6.123, 6.123, 6.123 Å; angles 59.33, 59.33, 59.33 degrees
Positions (direct):
Mn1 0.000 0.000 0.000
Fe1 0.000 0.000 0.500
Fe2 0.000 0.500 0.000
Fe3 0.376 0.376 0.376
Fe4 0.500 0.000 0.000
Fe5 0.624 0.624 0.624
O1 0.234 0.748 0.748
O2 0.245 0.245 0.245
O3 0.252 0.252 0.766
O4 0.252 0.766 0.252
O5 0.748 0.234 0.748
O6 0.748 0.748 0.234
O7 0.755 0.755 0.755
O8 0.766 0.252 0.252


Entry 2:
This entry pairs a crystal structure of KV2AgO6 with its simulated X-ray diffraction stick pattern. Radiation: Cu Kα, 1.54184 Å. Structure: the PBE+U geometry in the Materials Project.
Lines closer than 0.1° are merged.

Main lines, sorted by position (5° ≤ 2θ ≤ 70°):
Position (°2θ), d_spacing, I/Imax
12.09, 7.323, 27
17.53, 5.058, 11
18.00, 4.929, 10
26.64, 3.346, 100
30.89, 2.895, 25
31.11, 2.875, 39
31.22, 2.865, 32
35.50, 2.529, 12
50.02, 1.823, 22
56.75, 1.622, 11

Structure:
Cell lengths 7.450, 7.450, 5.905 Å; angles 100.23, 100.23, 85.51 degrees
Positions (direct):
K1 0.196 0.804 0.750
K2 0.804 0.196 0.250
V1 0.124 0.298 0.769
V2 0.298 0.124 0.269
V3 0.702 0.876 0.731
V4 0.876 0.702 0.231
Ag1 0.407 0.593 0.250
Ag2 0.593 0.407 0.750
O1 0.087 0.610 0.299
O2 0.136 0.170 0.010
O3 0.170 0.136 0.510
O4 0.281 0.459 0.841
O5 0.390 0.913 0.201
O6 0.459 0.281 0.341
O7 0.541 0.719 0.659
O8 0.610 0.087 0.799
O9 0.719 0.541 0.159
O10 0.830 0.864 0.490
O11 0.864 0.830 0.990
O12 0.913 0.390 0.701


Entry 3:
This entry pairs a crystal structure of SbMoOF9 with its simulated X-ray diffraction stick pattern. Radiation: Cu Kα, 1.54184 Å. Structure: the PBE+U geometry in the Materials Project.
Lines closer than 0.1° are merged.

Main lines, sorted by position (5° ≤ 2θ ≤ 70°):
Position (°2θ), d_spacing, I/Imax
14.97, 5.919, 46
17.11, 5.182, 52
17.87, 4.962, 65
19.71, 4.503, 33
21.86, 4.065, 100
22.38, 3.972, 96
25.81, 3.451, 35
28.62, 3.119, 33
39.67, 2.272, 31
46.59, 1.949, 35

Structure:
Cell lengths 7.685, 10.722, 12.233 Å; angles 90.00, 125.77, 90.00 degrees
Positions (direct):
Sb1 0.095 0.017 0.309
Sb2 0.095 0.483 0.809
Sb3 0.905 0.517 0.191
Sb4 0.905 0.983 0.691
Mo1 0.462 0.187 0.835
Mo2 0.462 0.313 0.335
Mo3 0.538 0.687 0.665
Mo4 0.538 0.813 0.165
O1 0.292 0.749 0.583
O2 0.292 0.751 0.083
O3 0.708 0.249 0.917
O4 0.708 0.251 0.417
F1 0.018 0.522 0.377
F2 0.018 0.978 0.877
F3 0.093 0.647 0.219
F4 0.093 0.853 0.719
F5 0.109 0.112 0.722
F6 0.109 0.388 0.222
F7 0.221 0.019 0.496
F8 0.221 0.481 0.996
F9 0.299 0.604 0.839
F10 0.299 0.896 0.339
F11 0.314 0.151 0.343
F12 0.314 0.349 0.843
F13 0.334 0.245 0.660
F14 0.334 0.255 0.160
F15 0.449 0.144 0.978
F16 0.449 0.356 0.478
F17 0.486 0.527 0.694
F18 0.486 0.973 0.194
F19 0.514 0.027 0.806
F20 0.514 0.473 0.306
F21 0.551 0.644 0.522
F22 0.551 0.856 0.022
F23 0.666 0.745 0.840
F24 0.666 0.755 0.340
F25 0.686 0.651 0.157
F26 0.686 0.849 0.657
F27 0.701 0.104 0.661
F28 0.701 0.396 0.161
F29 0.779 0.519 0.004
F30 0.779 0.981 0.504
F31 0.891 0.612 0.778
F32 0.891 0.888 0.278
F33 0.907 0.147 0.281
F34 0.907 0.353 0.781
F35 0.982 0.022 0.123
F36 0.982 0.478 0.623


Copy entry 2 word for word.
This entry pairs a crystal structure of KV2AgO6 with its simulated X-ray diffraction stick pattern. Radiation: Cu Kα, 1.54184 Å. Structure: the PBE+U geometry in the Materials Project.
Lines closer than 0.1° are merged.

Main lines, sorted by position (5° ≤ 2θ ≤ 70°):
Position (°2θ), d_spacing, I/Imax
12.09, 7.323, 27
17.53, 5.058, 11
18.00, 4.929, 10
26.64, 3.346, 100
30.89, 2.895, 25
31.11, 2.875, 39
31.22, 2.865, 32
35.50, 2.529, 12
50.02, 1.823, 22
56.75, 1.622, 11

Structure:
Cell lengths 7.450, 7.450, 5.905 Å; angles 100.23, 100.23, 85.51 degrees
Positions (direct):
K1 0.196 0.804 0.750
K2 0.804 0.196 0.250
V1 0.124 0.298 0.769
V2 0.298 0.124 0.269
V3 0.702 0.876 0.731
V4 0.876 0.702 0.231
Ag1 0.407 0.593 0.250
Ag2 0.593 0.407 0.750
O1 0.087 0.610 0.299
O2 0.136 0.170 0.010
O3 0.170 0.136 0.510
O4 0.281 0.459 0.841
O5 0.390 0.913 0.201
O6 0.459 0.281 0.341
O7 0.541 0.719 0.659
O8 0.610 0.087 0.799
O9 0.719 0.541 0.159
O10 0.830 0.864 0.490
O11 0.864 0.830 0.990
O12 0.913 0.390 0.701